Theoretical XRD peak list
Compound: Rb2NpO5
Radiation: Cu Kα, 1.54184 Å
Structure: a DFT-relaxed cell (GGA-PBE, Alexandria)
Peak positions follow from Bragg's law for the DFT cell and can differ from measured ones.

Structure:
Lattice parameters (Å, degrees): 6.4528 6.4528 4.3375 90.00 90.00 90.00
Space group P4/mmm (No. 123)
Inequivalent atoms, fractional coordinates:
Rb1 0.0000 0.5000 0.0000 (multiplicity 2)
Np1 0.0000 0.0000 0.5000 (multiplicity 1)
O1 0.0000 0.0000 0.0000 (multiplicity 1)
O2 0.2094 0.2094 0.5000 (multiplicity 4)

Main lines, most intense first (15 to 90 degrees two-theta):
two_theta, intensity
28.39, 100
24.73, 48
27.65, 45
49.36, 41
39.50, 30
30.99, 28
37.43, 25
58.74, 18
50.72, 18
44.05, 14
41.64, 14
52.80, 13


Theoretical XRD peak list
Compound: Mg3PaIn4
Radiation: Cu Kα, 1.54184 Å
Structure: a DFT-relaxed cell (GGA-PBE, Alexandria)
Peak positions follow from Bragg's law for the DFT cell and can differ from measured ones.

Structure:
Lattice parameters (Å, degrees): 4.4812 4.5912 9.3316 90.00 90.00 90.00
Space group Pmmm (No. 47)
Inequivalent atoms, fractional coordinates:
Mg1 0.0000 0.0000 0.0000 (multiplicity 1)
Mg2 0.0000 0.5000 0.2408 (multiplicity 2)
Pa1 0.0000 0.0000 0.5000 (multiplicity 1)
In1 0.5000 0.0000 0.2444 (multiplicity 2)
In2 0.5000 0.5000 0.0000 (multiplicity 1)
In3 0.5000 0.5000 0.5000 (multiplicity 1)

Main lines, most intense first (15 to 90 degrees two-theta):
two_theta, intensity
33.92, 100
38.59, 17
39.25, 17
40.25, 16
66.86, 13
67.75, 13
69.13, 12
56.22, 11
71.38, 11
56.99, 11
57.47, 11
29.45, 11